Entry 1:
Gd2TlAu: theoretical powder XRD pattern (Cu Kα), based on a crystal structure in Alexandria, relaxed with GGA-PBE.

Cell and atoms:
```
data_Gd2TlAu
_cell_length_a 7.464
_cell_length_b 7.464
_cell_length_c 7.464
_cell_angle_alpha 90.00
_cell_angle_beta 90.00
_cell_angle_gamma 90.00
_symmetry_space_group_name_H-M 'F m -3 m'
_symmetry_Int_Tables_number 225
_symmetry_space_group_name_Hall '-F 4 2 3'
loop_
_atom_site_label
_atom_site_type_symbol
_atom_site_fract_x
_atom_site_fract_y
_atom_site_fract_z
Gd1 Gd 0.250 0.250 0.250
Tl1 Tl 0.000 0.000 0.000
Au1 Au 0.000 0.000 0.500
```

Most intense lines, 2θ from 5° to 70°, sorted by position:
two_theta  Rel. int.
23.84  2
33.97  100
41.93  1
48.80  18
55.02  1
60.79  38


Entry 2:
Nd2SiGe3Pt4: theoretical powder XRD pattern (Cu Kα), based on a crystal structure in Alexandria, relaxed with GGA-PBE.

Cell and atoms:
```
data_Nd2SiGe3Pt4
_cell_length_a 4.375
_cell_length_b 4.375
_cell_length_c 9.955
_cell_angle_alpha 90.00
_cell_angle_beta 90.00
_cell_angle_gamma 90.00
_symmetry_space_group_name_H-M 'P -4 m 2'
_symmetry_Int_Tables_number 115
loop_
_symmetry_equiv_pos_as_xyz
'x,y,z'
'y,-x,-z'
'-x,-y,z'
'-y,x,-z'
'-x,y,z'
'-y,-x,-z'
'x,-y,z'
'y,x,-z'
loop_
_atom_site_label
_atom_site_type_symbol
_atom_site_fract_x
_atom_site_fract_y
_atom_site_fract_z
Nd1 Nd 0.000 0.500 0.245
Si1 Si 0.500 0.500 0.000
Ge1 Ge 0.000 0.000 0.000
Ge2 Ge 0.000 0.500 0.632
Pt1 Pt 0.000 0.000 0.500
Pt2 Pt 0.000 0.500 0.883
Pt3 Pt 0.500 0.500 0.500
```

Most intense lines, 2θ from 5° to 70°, sorted by position:
two_theta  Rel. int.
30.25  53
33.90  85
34.12  100
41.27  90
46.85  38
54.44  44


Entry 3:
K3RbAu: theoretical powder XRD pattern (Cu Kα), based on a crystal structure in Alexandria, relaxed with GGA-PBE.

Cell and atoms:
```
data_K3RbAu
_cell_length_a 4.921
_cell_length_b 8.774
_cell_length_c 14.979
_cell_angle_alpha 90.00
_cell_angle_beta 90.00
_cell_angle_gamma 90.00
_symmetry_space_group_name_H-M 'A m m 2'
_symmetry_Int_Tables_number 38
loop_
_symmetry_equiv_pos_as_xyz
'x,y,z'
'-x,-y,z'
'-x,y,z'
'x,-y,z'
'x,y+1/2,z+1/2'
'-x,-y+1/2,z+1/2'
'-x,y+1/2,z+1/2'
'x,-y+1/2,z+1/2'
loop_
_atom_site_label
_atom_site_type_symbol
_atom_site_fract_x
_atom_site_fract_y
_atom_site_fract_z
K1 K 0.000 0.000 0.000
K2 K 0.500 0.239 0.700
Rb1 Rb 0.000 0.000 0.430
Au1 Au 0.500 0.000 0.864
```

Most intense lines, 2θ from 5° to 70°, sorted by position:
two_theta  Rel. int.
11.69  49
11.82  49
21.55  100
23.50  56
27.40  45
36.47  45


Entry 4:
U3Tl2S6: theoretical powder XRD pattern (Cu Kα), based on a crystal structure in Alexandria, relaxed with GGA-PBE.

Cell and atoms:
```
data_U3Tl2S6
_cell_length_a 6.928
_cell_length_b 11.998
_cell_length_c 7.963
_cell_angle_alpha 90.00
_cell_angle_beta 106.83
_cell_angle_gamma 90.00
_symmetry_space_group_name_H-M 'C 1 2/m 1'
_symmetry_Int_Tables_number 12
loop_
_symmetry_equiv_pos_as_xyz
'x,y,z'
'-x,-y,-z'
'-x,y,-z'
'x,-y,z'
'x+1/2,y+1/2,z'
'-x+1/2,-y+1/2,-z'
'-x+1/2,y+1/2,-z'
'x+1/2,-y+1/2,z'
loop_
_atom_site_label
_atom_site_type_symbol
_atom_site_fract_x
_atom_site_fract_y
_atom_site_fract_z
U1 U 0.000 0.000 0.000
U2 U 0.000 0.334 0.000
Tl1 Tl 0.000 0.167 0.500
S1 S 0.230 0.167 0.193
S2 S 0.233 0.500 0.195
```

Most intense lines, 2θ from 5° to 70°, sorted by position:
two_theta  Rel. int.
23.34  33
26.90  64
30.17  100
40.94  41
45.35  34
47.68  26


Entry 5:
Pm12YTh7: theoretical powder XRD pattern (Cu Kα), based on a crystal structure in Alexandria, relaxed with GGA-PBE.

Cell and atoms:
```
data_Pm12YTh7
_cell_length_a 11.586
_cell_length_b 11.586
_cell_length_c 11.586
_cell_angle_alpha 90.00
_cell_angle_beta 90.00
_cell_angle_gamma 90.00
_symmetry_space_group_name_H-M 'I m -3'
_symmetry_Int_Tables_number 204
_symmetry_space_group_name_Hall '-I 2 2 3'
loop_
_atom_site_label
_atom_site_type_symbol
_atom_site_fract_x
_atom_site_fract_y
_atom_site_fract_z
Pm1 Pm 0.000 0.227 0.303
Y1 Y 0.000 0.000 0.000
Th1 Th 0.000 0.000 0.500
Th2 Th 0.250 0.250 0.250
```

Most intense lines, 2θ from 5° to 70°, sorted by position:
two_theta  Rel. int.
21.70  65
26.65  34
30.87  100
38.05  69
44.22  53
59.73  39